1.
The following is a computed XRD peak list of SmHoFe6Ni2B2. It was derived from a crystal structure in OQMD, relaxed with PBE, using Cu Kα (λ = 1.5418 Å).

Largest 10 diffraction maxima, in order of falling intensity, 10 to 90 degrees two-theta:
hkl 1 1 2, 44.17 deg, d = 2.050 Å, intensity 100; hkl 1 0 2, 32.65 deg, d = 2.743 Å, intensity 87; hkl 2 0 0, 41.37 deg, d = 2.183 Å, intensity 67; hkl 1 1 0, 35.62 deg, d = 2.520 Å, intensity 34; hkl 2 1 2, 62.11 deg, d = 1.494 Å, intensity 27; hkl 3 0 2, 69.94 deg, d = 1.345 Å, intensity 24; hkl 2 2 0, 75.43 deg, d = 1.260 Å, intensity 20; hkl 2 0 4, 68.41 deg, d = 1.371 Å, intensity 16; hkl 1 0 0, 20.34 deg, d = 4.365 Å, intensity 16; hkl 1 1 4, 64.51 deg, d = 1.444 Å, intensity 16

Structural model:
a b c (Å): 5.041 5.041 7.050
angles (deg): 90.00 90.00 120.00
Atoms (fractional coordinates):
1 Sm 0.000 0.000 0.000
2 Ho 0.000 0.000 0.500
3 Fe 0.000 0.500 0.289
4 Fe 0.000 0.500 0.711
5 Fe 0.500 0.000 0.289
6 Fe 0.500 0.000 0.711
7 Fe 0.500 0.500 0.289
8 Fe 0.500 0.500 0.711
9 Ni 0.333 0.667 0.000
10 Ni 0.667 0.333 0.000
11 B 0.333 0.667 0.500
12 B 0.667 0.333 0.500

***

2.
The following is a computed XRD peak list of SmHoFe2Ni6B2. It was derived from a crystal structure in OQMD, relaxed with PBE, using Cu Kα (λ = 1.5418 Å).

Largest 10 diffraction maxima, in order of falling intensity, 10 to 90 degrees two-theta:
hkl 1 1 2, 44.29 deg, d = 2.045 Å, intensity 100; hkl 1 0 2, 32.77 deg, d = 2.733 Å, intensity 96; hkl 2 0 0, 41.41 deg, d = 2.181 Å, intensity 80; hkl 2 1 2, 62.23 deg, d = 1.492 Å, intensity 30; hkl 1 1 0, 35.66 deg, d = 2.518 Å, intensity 30; hkl 3 0 2, 70.07 deg, d = 1.343 Å, intensity 24; hkl 2 2 0, 75.52 deg, d = 1.259 Å, intensity 21; hkl 2 0 4, 68.69 deg, d = 1.366 Å, intensity 17; hkl 1 1 4, 64.80 deg, d = 1.439 Å, intensity 15; hkl 1 0 0, 20.36 deg, d = 4.361 Å, intensity 14

Structural model:
a b c (Å): 5.036 5.036 7.013
angles (deg): 90.00 90.00 120.00
Atoms (fractional coordinates):
1 Sm 0.000 0.000 0.000
2 Ho 0.000 0.000 0.500
3 Fe 0.333 0.667 0.500
4 Fe 0.667 0.333 0.500
5 Ni 0.000 0.500 0.208
6 Ni 0.000 0.500 0.792
7 Ni 0.500 0.000 0.208
8 Ni 0.500 0.000 0.792
9 Ni 0.500 0.500 0.208
10 Ni 0.500 0.500 0.792
11 B 0.333 0.667 0.000
12 B 0.667 0.333 0.000